Entry 1:
Mn2GeO4: simulated XRD peak list (λ = 1.5418 Å (Cu Kα)), based on a crystal structure in the Materials Project, relaxed with PBE+U.
Intensities are scaled so that the largest is 100.

Peak list (12 most intense, 10 to 90 degrees two-theta, in order of rising 2θ)
2θ = 21.4°, intensity 42
2θ = 27.9°, intensity 17
2θ = 30.2°, intensity 52
2θ = 33.4°, intensity 87
2θ = 34.1°, intensity 100
2θ = 35.1°, intensity 16
2θ = 35.9°, intensity 18
2θ = 38.8°, intensity 16
2θ = 48.5°, intensity 33
2θ = 53.0°, intensity 22
2θ = 57.7°, intensity 19
2θ = 58.5°, intensity 26

Cell and atoms:
```
data_Mn2GeO4
_chemical_formula_sum 'Mn8 Ge4 O16'
_cell_length_a 10.8892
_cell_length_b 6.3868
_cell_length_c 5.1200
_cell_angle_alpha 90.00
_cell_angle_beta 90.00
_cell_angle_gamma 90.00
_symmetry_space_group_name_H-M 'P n m a'
_symmetry_Int_Tables_number 62
loop_
_symmetry_equiv_pos_as_xyz
'x,y,z'
'-x,-y,-z'
'-x+1/2,-y,z+1/2'
'x+1/2,y,-z+1/2'
'x+1/2,-y+1/2,-z+1/2'
'-x+1/2,y+1/2,z+1/2'
'-x,y+1/2,-z'
'x,-y+1/2,z'
loop_
_atom_site_label
_atom_site_type_symbol
_atom_site_fract_x
_atom_site_fract_y
_atom_site_fract_z
Mn1 Mn 0.0000 0.0000 0.0000
Mn2 Mn 0.2212 0.2500 0.4926
Ge1 Ge 0.0960 0.7500 0.4352
O1 O 0.0538 0.2500 0.7203
O2 O 0.0938 0.7500 0.7793
O3 O 0.1645 0.5295 0.2755
```

Entry 2:
LiV2O4: simulated XRD peak list (λ = 1.5418 Å (Cu Kα)), based on a crystal structure in the Materials Project, relaxed with PBE+U.
Intensities are scaled so that the largest is 100.

Peak list (12 most intense, 10 to 90 degrees two-theta, in order of rising 2θ)
2θ = 17.8°, intensity 100
2θ = 35.2°, intensity 22
2θ = 36.1°, intensity 9
2θ = 42.5°, intensity 41
2θ = 43.1°, intensity 19
2θ = 46.2°, intensity 5
2θ = 55.9°, intensity 10
2θ = 56.2°, intensity 5
2θ = 60.9°, intensity 10
2θ = 61.4°, intensity 6
2θ = 62.1°, intensity 5
2θ = 63.4°, intensity 10

Cell and atoms:
```
data_LiV2O4
_chemical_formula_sum 'Li1 V2 O4'
_cell_length_a 5.0355
_cell_length_b 3.0208
_cell_length_c 5.2824
_cell_angle_alpha 90.00
_cell_angle_beta 109.06
_cell_angle_gamma 90.00
_symmetry_space_group_name_H-M 'P 1 2/m 1'
_symmetry_Int_Tables_number 10
loop_
_symmetry_equiv_pos_as_xyz
'x,y,z'
'-x,-y,-z'
'-x,y,-z'
'x,-y,z'
loop_
_atom_site_label
_atom_site_type_symbol
_atom_site_fract_x
_atom_site_fract_y
_atom_site_fract_z
Li1 Li 0.0000 0.0000 0.0000
V1 V 0.0000 0.5000 0.5000
V2 V 0.5000 0.0000 0.5000
O1 O 0.2465 0.0000 0.7031
O2 O 0.2639 0.5000 0.2814
```

Entry 3:
BaCaEuWO6: simulated XRD peak list (λ = 1.5418 Å (Cu Kα)), based on a crystal structure in the Materials Project, relaxed with PBE+U.
Intensities are scaled so that the largest is 100.

Peak list (12 most intense, 10 to 90 degrees two-theta, in order of rising 2θ)
2θ = 20.8°, intensity 12
2θ = 29.6°, intensity 100
2θ = 42.3°, intensity 9
2θ = 42.4°, intensity 9
2θ = 42.5°, intensity 8
2θ = 52.5°, intensity 30
2θ = 52.6°, intensity 15
2θ = 61.4°, intensity 10
2θ = 69.7°, intensity 6
2θ = 69.9°, intensity 6
2θ = 85.0°, intensity 8
2θ = 85.2°, intensity 11

Cell and atoms:
```
data_BaCaEuWO6
_chemical_formula_sum 'Ba4 Ca4 Eu4 W4 O24'
_cell_length_a 8.5109
_cell_length_b 8.5303
_cell_length_c 8.5551
_cell_angle_alpha 90.00
_cell_angle_beta 90.00
_cell_angle_gamma 90.00
_symmetry_space_group_name_H-M 'P n n n'
_symmetry_Int_Tables_number 48
loop_
_symmetry_equiv_pos_as_xyz
'x,y,z'
'-x,-y,-z'
'-x+1/2,-y+1/2,z'
'x+1/2,y+1/2,-z'
'x,-y+1/2,-z+1/2'
'-x,y+1/2,z+1/2'
'-x+1/2,y,-z+1/2'
'x+1/2,-y,z+1/2'
loop_
_atom_site_label
_atom_site_type_symbol
_atom_site_fract_x
_atom_site_fract_y
_atom_site_fract_z
Ba1 Ba 0.2500 0.2500 0.2500
Ba2 Ba 0.2500 0.7500 0.2500
Ca1 Ca 0.2500 0.2500 0.7500
Ca2 Ca 0.2500 0.7500 0.7500
Eu1 Eu 0.0000 0.0000 0.0000
W1 W 0.0000 0.0000 0.5000
O1 O 0.0429 0.0312 0.2759
O2 O 0.0500 0.2214 0.5471
O3 O 0.2202 0.5571 0.9584
```

Entry 4:
CaMn8O16: simulated XRD peak list (λ = 1.5418 Å (Cu Kα)), based on a crystal structure in the Materials Project, relaxed with PBE+U.
Intensities are scaled so that the largest is 100.

Peak list (12 most intense, 10 to 90 degrees two-theta, in order of rising 2θ)
2θ = 12.6°, intensity 100
2θ = 17.7°, intensity 52
2θ = 18.1°, intensity 51
2θ = 28.3°, intensity 35
2θ = 28.7°, intensity 56
2θ = 35.8°, intensity 24
2θ = 36.2°, intensity 60
2θ = 36.4°, intensity 54
2θ = 40.5°, intensity 19
2θ = 41.0°, intensity 24
2θ = 48.3°, intensity 30
2θ = 49.0°, intensity 20

Cell and atoms:
```
data_CaMn8O16
_chemical_formula_sum 'Ca2 Mn16 O32'
_cell_length_a 9.7987
_cell_length_b 5.9671
_cell_length_c 13.9772
_cell_angle_alpha 90.00
_cell_angle_beta 134.18
_cell_angle_gamma 90.00
_symmetry_space_group_name_H-M 'P 1 c 1'
_symmetry_Int_Tables_number 7
loop_
_symmetry_equiv_pos_as_xyz
'x,y,z'
'x,-y,z+1/2'
loop_
_atom_site_label
_atom_site_type_symbol
_atom_site_fract_x
_atom_site_fract_y
_atom_site_fract_z
Ca1 Ca 0.0000 0.1239 0.0000
Mn1 Mn 0.2610 0.1268 0.4064
Mn2 Mn 0.2609 0.3694 0.9055
Mn3 Mn 0.5552 0.3734 0.7177
Mn4 Mn 0.5600 0.1248 0.2198
Mn5 Mn 0.5898 0.1209 0.9180
Mn6 Mn 0.6066 0.3770 0.4254
Mn7 Mn 0.8954 0.1242 0.7304
Mn8 Mn 0.8957 0.3745 0.2402
O1 O 0.0222 0.1120 0.3679
O2 O 0.0286 0.3484 0.8728
O3 O 0.1292 0.3752 0.2784
O4 O 0.1325 0.1192 0.7748
O5 O 0.3612 0.3783 0.5269
O6 O 0.3625 0.1226 0.0284
O7 O 0.4284 0.1210 0.7210
O8 O 0.4389 0.3731 0.2298
O9 O 0.4575 0.1258 0.4089
O10 O 0.4610 0.3683 0.9121
O11 O 0.6916 0.3762 0.2302
O12 O 0.6994 0.1254 0.7335
O13 O 0.7265 0.3553 0.9117
O14 O 0.7295 0.1084 0.4128
O15 O 0.7914 0.1170 0.1077
O16 O 0.7961 0.3740 0.6145
```